Structure and calculated powder X-ray diffraction pattern of BiWO2 (a DFT-relaxed cell (PBE+U, the Materials Project); Cu Kα, 1.54184 Å).
Kinematic intensities with the Lorentz-polarization factor, no thermal factor.

Unit cell a=7.8507 b=7.8507 c=7.8507 alpha=131.29 beta=131.29 gamma=71.36
Element x y z (fractional)
Bi  0.0000  0.0000  0.0000
Bi  0.0000  0.0000  0.5000
Bi  0.0000  0.5000  0.0000
Bi  0.5000  0.0000  0.5000
W  0.0000  0.5000  0.5000
W  0.5000  0.0000  0.0000
W  0.5000  0.5000  0.0000
W  0.5000  0.5000  0.5000
O  0.1885  0.2426  0.5541
O  0.1885  0.6344  0.9459
O  0.2426  0.1885  0.0541
O  0.3656  0.8115  0.5541
O  0.6344  0.1885  0.4459
O  0.7574  0.8115  0.9459
O  0.8115  0.3656  0.0541
O  0.8115  0.7574  0.4459

Main lines, in order of rising 2θ (2θ from 5° to 70°):
2θ (°), intensity
27.98, 37
30.98, 100
31.68, 1
39.35, 34
48.98, 32
51.42, 31
56.87, 11
57.84, 4
64.56, 14
66.18, 25

Structure and calculated powder X-ray diffraction pattern of Eu2NiO4 (a DFT-relaxed cell (PBE+U, the Materials Project); Cu Kα, 1.54184 Å).
Kinematic intensities with the Lorentz-polarization factor, no thermal factor.

Unit cell a=6.6847 b=6.6847 c=6.6847 alpha=147.02 beta=147.02 gamma=47.34
Element x y z (fractional)
Eu  0.1427  0.1427  0.0000
Eu  0.8573  0.8573  0.0000
Ni  0.5000  0.5000  0.0000
O  0.0000  0.5000  0.5000
O  0.3247  0.3247  0.0000
O  0.5000  0.0000  0.5000
O  0.6753  0.6753  0.0000

Main lines, in order of rising 2θ (2θ from 5° to 70°):
2θ (°), intensity
24.56, 24
29.17, 12
32.21, 100
33.39, 66
44.92, 27
47.94, 32
56.66, 13
58.06, 11
58.94, 36
67.39, 11